Starting from a crystal structure in Alexandria, relaxed with GGA-PBE, the powder diffraction line list of CrHOs was computed for Cu Kα X-rays.
Peak positions follow from Bragg's law for the DFT cell and can differ from measured ones.

```
CrHOs
1.0
2.739 0.000 0.000
0.000 2.749 0.000
0.000 0.000 3.930
Cr H Os
1 1 1
Cartesian
0.000 0.000 0.000
1.369 0.000 2.854
1.369 1.375 1.646
```

Main lines, in order of rising 2θ (10° ≤ 2θ ≤ 90°):
2θ 22.6, I 76, hkl 0 0 1; 2θ 32.6, I 27, hkl 0 1 0; 2θ 32.7, I 28, hkl 1 0 0; 2θ 40.0, I 100, hkl 0 1 1; 2θ 40.1, I 99, hkl 1 0 1; 2θ 46.2, I 29, hkl 0 0 2; 2θ 46.8, I 66, hkl 1 1 0; 2θ 52.6, I 35, hkl 1 1 1; 2θ 57.7, I 35, hkl 0 1 2; 2θ 67.9, I 36, hkl 1 1 2; 2θ 82.2, I 24, hkl 1 2 1; 2θ 82.4, I 24, hkl 2 1 1